Structure and computed powder diffractogram of DyYCo2B2O2 (a structure optimized by DFT (GGA+U); copper Kα).

Main lines, by intensity (10 to 90 degrees two-theta):
hkl	two_theta	I_rel
1 0 1	28.33	100.0
1 1 2	44.25	79.0
1 1 1	38.50	62.3
0 0 3	36.75	42.5
2 0 0	52.45	39.7
1 0 2	35.51	35.5
2 0 3	65.76	28.8
2 1 1	60.68	25.4
0 0 1	12.06	22.3
1 0 4	56.71	22.2

abc: 3.489 3.489 7.336
angles: 90.00 90.00 90.00
Space group P4mm (No. 99)
Unique sites:
Dy 0.000 0.000 0.000
Y 0.500 0.500 0.385
Co 0.000 0.500 0.693
B 0.000 0.000 0.556
B 0.500 0.500 0.830
O 0.000 0.000 0.328
O 0.500 0.500 0.057